The following is a simulated X-ray powder pattern of Nd2SmDy2Y. It was derived from DFT lattice parameters and positions (GGA-PBE), using Cu Kα X-rays.
Intensities are scaled so that the largest is 100.

The 12 most intense peaks (10 to 90 degrees two-theta), by angle:
2theta  I_rel
26.61  22
28.62  77
29.61  63
30.11  100
31.10  24
32.59  35
33.46  51
35.63  26
38.15  34
40.77  53
54.76  28
64.29  27

Crystal structure
```
data_Nd2SmDy2Y
_chemical_formula_sum 'Nd4 Sm2 Dy4 Y2'
_space_group_name_H-M_alt 'P 1'
_space_group_IT_number 1
_cell_length_a 6.6437
_cell_length_b 18.1043
_cell_length_c 3.4088
_cell_angle_alpha 90.00
_cell_angle_beta 90.00
_cell_angle_gamma 90.00
loop_
_space_group_symop_operation_xyz
'x,y,z'
loop_
_atom_site_label
_atom_site_type_symbol
_atom_site_fract_x
_atom_site_fract_y
_atom_site_fract_z
Nd1 Nd 0.2275 0.1861 0.0000
Nd2 Nd 0.2725 0.6861 0.5000
Nd3 Nd 0.7275 0.3139 0.5000
Nd4 Nd 0.7725 0.8139 0.0000
Sm1 Sm 0.0000 0.5000 0.0000
Sm2 Sm 0.5000 0.0000 0.5000
Dy1 Dy 0.2255 0.3536 0.5000
Dy2 Dy 0.2745 0.8536 0.0000
Dy3 Dy 0.7255 0.1464 0.0000
Dy4 Dy 0.7745 0.6464 0.5000
Y1 Y 0.0000 0.0000 0.0000
Y2 Y 0.5000 0.5000 0.5000
```

The following is a simulated X-ray powder pattern of NiSe2Br. It was derived from DFT lattice parameters and positions (GGA-PBE), using Cu Kα X-rays.
Intensities are scaled so that the largest is 100.

The 12 most intense peaks (10 to 90 degrees two-theta), by angle:
2theta  I_rel
11.72  38
27.93  22
30.38  100
35.68  13
36.86  53
45.90  54
49.41  50
56.64  19
59.11  14
62.42  16
69.72  15
80.56  12

Crystal structure
```
data_NiSe2Br
_chemical_formula_sum 'Ni1 Se2 Br1'
_space_group_name_H-M_alt 'P 1'
_space_group_IT_number 1
_cell_length_a 3.6891
_cell_length_b 3.6891
_cell_length_c 7.5499
_cell_angle_alpha 90.00
_cell_angle_beta 90.00
_cell_angle_gamma 120.00
loop_
_space_group_symop_operation_xyz
'x,y,z'
loop_
_atom_site_label
_atom_site_type_symbol
_atom_site_fract_x
_atom_site_fract_y
_atom_site_fract_z
Ni1 Ni 0.0000 0.0000 0.0000
Se1 Se 0.3333 0.6667 0.8501
Se2 Se 0.6667 0.3333 0.1600
Br1 Br 0.3333 0.6667 0.5203
```

The following is a simulated X-ray powder pattern of Cs2Ce2US6. It was derived from DFT lattice parameters and positions (GGA-PBE), using Cu Kα X-rays.
Intensities are scaled so that the largest is 100.

The 12 most intense peaks (10 to 90 degrees two-theta), by angle:
2theta  I_rel
10.76  61
14.67  26
17.90  18
21.61  45
25.82  69
28.65  48
28.80  100
38.46  60
43.56  32
44.59  19
49.24  21
58.30  17

Crystal structure
```
data_Cs2Ce2US6
_chemical_formula_sum 'Cs2 Ce2 U1 S6'
_space_group_name_H-M_alt 'P 1'
_space_group_IT_number 1
_cell_length_a 7.1795
_cell_length_b 7.1795
_cell_length_c 8.5768
_cell_angle_alpha 98.17
_cell_angle_beta 98.17
_cell_angle_gamma 119.76
loop_
_space_group_symop_operation_xyz
'x,y,z'
loop_
_atom_site_label
_atom_site_type_symbol
_atom_site_fract_x
_atom_site_fract_y
_atom_site_fract_z
Cs1 Cs 0.1689 0.8311 0.0000
Cs2 Cs 0.8311 0.1689 0.0000
Ce1 Ce 0.3342 0.6658 0.5000
Ce2 Ce 0.6658 0.3342 0.5000
U1 U 0.0000 0.0000 0.5000
S1 S 0.0578 0.3825 0.6768
S2 S 0.2601 0.2601 0.3227
S3 S 0.3825 0.0578 0.6768
S4 S 0.6175 0.9422 0.3232
S5 S 0.7399 0.7399 0.6773
S6 S 0.9422 0.6175 0.3232
```